Record 1
For Na4MgGe2Se6, a GGA-PBE-relaxed structure gives the simulated powder XRD pattern in this record (CuKα).
Kinematic intensities with the Lorentz-polarization factor, no thermal factor.

Cell and atoms:
a b c (Å): 7.818 12.099 7.182
angles (deg): 90.00 106.75 90.00
Space group C2 (No. 5)
One atom of each set of equivalent atoms:
Na 0.000 0.000 0.000 x2
Na 0.000 0.154 0.500 x2
Na 0.000 0.459 0.500 x2
Na 0.000 0.829 0.500 x2
Mg 0.000 0.637 0.000 x2
Ge 0.163 0.314 0.056 x4
Se 0.223 0.657 0.750 x4
Se 0.228 0.802 0.221 x4
Se 0.232 0.485 0.235 x4

Top 8 peaks for 2θ = 10–80°, sorted by position:
d = 6.878 Å, 2θ = 12.87°, I = 17, hkl 0 0 1
d = 3.743 Å, 2θ = 23.77°, I = 26, hkl 2 0 0
d = 3.347 Å, 2θ = 26.63°, I = 13, hkl 1 3 -1
d = 2.995 Å, 2θ = 29.83°, I = 100, hkl 2 0 -2
d = 2.184 Å, 2θ = 41.34°, I = 13, hkl 3 3 -1
d = 2.058 Å, 2θ = 43.99°, I = 31, hkl 1 3 -3
d = 2.016 Å, 2θ = 44.95°, I = 14, hkl 0 6 0
d = 1.674 Å, 2θ = 54.86°, I = 11, hkl 2 6 -2


Record 2
For Nd4Mg7Ge6, a GGA-PBE-relaxed structure gives the simulated powder XRD pattern in this record (CuKα).
Kinematic intensities with the Lorentz-polarization factor, no thermal factor.

Cell and atoms:
a b c (Å): 16.695 4.443 12.564
angles (deg): 90.00 122.50 90.00
Space group C2/m (No. 12)
One atom of each set of equivalent atoms:
Nd 0.129 0.000 0.339 x4
Nd 0.233 0.000 0.114 x4
Mg 0.000 0.000 0.000 x2
Mg 0.040 0.500 0.639 x4
Mg 0.063 0.500 0.896 x4
Mg 0.190 0.000 0.653 x4
Ge 0.110 0.000 0.812 x4
Ge 0.120 0.500 0.152 x4
Ge 0.150 0.500 0.523 x4

Top 8 peaks for 2θ = 10–80°, sorted by position:
d = 7.041 Å, 2θ = 12.57°, I = 40, hkl 2 0 0
d = 3.362 Å, 2θ = 26.51°, I = 39, hkl 3 1 -2
d = 2.996 Å, 2θ = 29.82°, I = 44, hkl 3 1 -3
d = 2.959 Å, 2θ = 30.21°, I = 73, hkl 1 1 -3
d = 2.669 Å, 2θ = 33.57°, I = 86, hkl 5 1 -2
d = 2.564 Å, 2θ = 35.00°, I = 59, hkl 3 1 -4
d = 2.391 Å, 2θ = 37.62°, I = 100, hkl 3 1 2
d = 2.221 Å, 2θ = 40.61°, I = 62, hkl 0 2 0


Record 3
For Nd2MgGe3, a GGA-PBE-relaxed structure gives the simulated powder XRD pattern in this record (CuKα).
Kinematic intensities with the Lorentz-polarization factor, no thermal factor.

Cell and atoms:
a b c (Å): 6.958 4.424 18.705
angles (deg): 90.00 90.00 90.00
Space group Pnma (No. 62)
One atom of each set of equivalent atoms:
Nd 0.166 0.250 0.084 x4
Nd 0.185 0.250 0.299 x4
Mg 0.055 0.750 0.440 x4
Ge 0.006 0.250 0.817 x4
Ge 0.136 0.250 0.689 x4
Ge 0.244 0.750 0.968 x4

Top 8 peaks for 2θ = 10–80°, sorted by position:
d = 2.918 Å, 2θ = 30.64°, I = 33, hkl 1 1 4
d = 2.735 Å, 2θ = 32.75°, I = 41, hkl 2 1 0
d = 2.706 Å, 2θ = 33.11°, I = 42, hkl 2 1 1
d = 2.643 Å, 2θ = 33.92°, I = 100, hkl 1 1 5
d = 2.338 Å, 2θ = 38.50°, I = 20, hkl 0 0 8
d = 2.212 Å, 2θ = 40.79°, I = 42, hkl 0 2 0
d = 1.971 Å, 2θ = 46.05°, I = 28, hkl 3 0 5
d = 1.472 Å, 2θ = 63.18°, I = 22, hkl 3 2 5


Record 4
For NdMgGe2Pd5, a GGA-PBE-relaxed structure gives the simulated powder XRD pattern in this record (CuKα).
Kinematic intensities with the Lorentz-polarization factor, no thermal factor.

Cell and atoms:
a b c (Å): 4.258 4.258 9.069
angles (deg): 90.00 90.00 90.00
Space group P4/mmm (No. 123)
One atom of each set of equivalent atoms:
Nd 0.000 0.000 0.000 x1
Mg 0.000 0.000 0.500 x1
Ge 0.500 0.500 0.368 x2
Pd 0.000 0.500 0.234 x4
Pd 0.500 0.500 0.000 x1

Top 8 peaks for 2θ = 10–80°, sorted by position:
d = 2.508 Å, 2θ = 35.80°, I = 100, hkl 1 1 2
d = 2.267 Å, 2θ = 39.75°, I = 11, hkl 0 0 4
d = 2.131 Å, 2θ = 42.43°, I = 77, hkl 2 0 0
d = 1.812 Å, 2θ = 50.34°, I = 11, hkl 0 0 5
d = 1.552 Å, 2θ = 59.56°, I = 14, hkl 2 0 4
d = 1.505 Å, 2θ = 61.61°, I = 16, hkl 2 2 0
d = 1.351 Å, 2θ = 69.60°, I = 13, hkl 1 1 6
d = 1.291 Å, 2θ = 73.35°, I = 24, hkl 3 1 2


Record 5
For Mg2Ni3Ge2, a GGA-PBE-relaxed structure gives the simulated powder XRD pattern in this record (CuKα).
Kinematic intensities with the Lorentz-polarization factor, no thermal factor.

Cell and atoms:
a b c (Å): 4.100 4.107 7.363
angles (deg): 90.64 105.90 119.23
Space group P-1 (No. 2)
One atom of each set of equivalent atoms:
Mg 0.244 0.372 0.117 x2
Ni 0.032 0.766 0.300 x2
Ni 0.500 0.500 0.500 x1
Ge 0.278 0.886 0.663 x2

Top 8 peaks for 2θ = 10–80°, sorted by position:
d = 6.975 Å, 2θ = 12.69°, I = 100, hkl 0 0 1
d = 2.726 Å, 2θ = 32.85°, I = 11, hkl 1 0 1
d = 2.291 Å, 2θ = 39.32°, I = 23, hkl 1 -1 2
d = 2.116 Å, 2θ = 42.73°, I = 48, hkl 1 0 2
d = 2.096 Å, 2θ = 43.17°, I = 24, hkl -1 1 3
d = 2.076 Å, 2θ = 43.61°, I = 34, hkl 1 1 -1
d = 2.052 Å, 2θ = 44.14°, I = 66, hkl 1 -2 0
d = 1.475 Å, 2θ = 63.03°, I = 15, hkl 0 2 2


Record 6
For Mg3Ni8Ge4, a GGA-PBE-relaxed structure gives the simulated powder XRD pattern in this record (CuKα).
Kinematic intensities with the Lorentz-polarization factor, no thermal factor.

Cell and atoms:
a b c (Å): 11.673 11.673 11.673
angles (deg): 90.00 90.00 90.00
Space group Fm-3m (No. 225)
One atom of each set of equivalent atoms:
Mg 0.000 0.000 0.225 x24
Ni 0.119 0.119 0.381 x32
Ni 0.169 0.169 0.169 x32
Ge 0.000 0.000 0.000 x4
Ge 0.000 0.000 0.500 x4
Ge 0.000 0.250 0.250 x24

Top 8 peaks for 2θ = 10–80°, sorted by position:
d = 6.740 Å, 2θ = 13.14°, I = 11, hkl 1 1 1
d = 5.837 Å, 2θ = 15.18°, I = 13, hkl 2 0 0
d = 3.370 Å, 2θ = 26.45°, I = 21, hkl 2 2 2
d = 2.247 Å, 2θ = 40.14°, I = 27, hkl 3 3 3
d = 2.064 Å, 2θ = 43.87°, I = 100, hkl 4 4 0
d = 1.973 Å, 2θ = 46.00°, I = 19, hkl 5 3 1
d = 1.780 Å, 2θ = 51.32°, I = 13, hkl 5 3 3
d = 1.760 Å, 2θ = 51.96°, I = 25, hkl 6 2 2


Record 7
For Mg6Ni16Ge7, a GGA-PBE-relaxed structure gives the simulated powder XRD pattern in this record (CuKα).
Kinematic intensities with the Lorentz-polarization factor, no thermal factor.

Cell and atoms:
a b c (Å): 11.563 11.563 11.563
angles (deg): 90.00 90.00 90.00
Space group Fm-3m (No. 225)
One atom of each set of equivalent atoms:
Mg 0.000 0.000 0.205 x24
Ni 0.118 0.118 0.382 x32
Ni 0.169 0.169 0.169 x32
Ge 0.000 0.000 0.500 x4
Ge 0.000 0.250 0.250 x24

Top 8 peaks for 2θ = 10–80°, sorted by position:
d = 6.676 Å, 2θ = 13.26°, I = 29, hkl 1 1 1
d = 5.781 Å, 2θ = 15.33°, I = 30, hkl 2 0 0
d = 3.338 Å, 2θ = 26.71°, I = 18, hkl 2 2 2
d = 2.225 Å, 2θ = 40.54°, I = 36, hkl 3 3 3
d = 2.044 Å, 2θ = 44.31°, I = 100, hkl 4 4 0
d = 1.954 Å, 2θ = 46.46°, I = 34, hkl 5 3 1
d = 1.828 Å, 2θ = 49.88°, I = 11, hkl 6 2 0
d = 1.743 Å, 2θ = 52.50°, I = 27, hkl 6 2 2


Record 8
For Mg2Ni3Ge5, a GGA-PBE-relaxed structure gives the simulated powder XRD pattern in this record (CuKα).
Kinematic intensities with the Lorentz-polarization factor, no thermal factor.

Cell and atoms:
a b c (Å): 3.898 23.672 6.779
angles (deg): 90.00 90.00 90.00
Space group Cmc2_1 (No. 36)
One atom of each set of equivalent atoms:
Mg 0.000 0.025 0.000 x4
Mg 0.000 0.327 0.061 x4
Ni 0.000 0.109 0.753 x4
Ni 0.000 0.275 0.560 x4
Ni 0.000 0.451 0.786 x4
Ge 0.000 0.097 0.391 x4
Ge 0.000 0.206 0.849 x4
Ge 0.000 0.209 0.270 x4
Ge 0.000 0.381 0.504 x4
Ge 0.000 0.452 0.169 x4

Top 8 peaks for 2θ = 10–80°, sorted by position:
d = 4.458 Å, 2θ = 19.92°, I = 32, hkl 0 4 1
d = 2.543 Å, 2θ = 35.30°, I = 27, hkl 1 1 2
d = 2.433 Å, 2θ = 36.95°, I = 100, hkl 1 3 2
d = 2.390 Å, 2θ = 37.63°, I = 74, hkl 1 7 1
d = 2.180 Å, 2θ = 41.41°, I = 27, hkl 1 9 0
d = 1.949 Å, 2θ = 46.61°, I = 72, hkl 2 0 0
d = 1.897 Å, 2θ = 47.95°, I = 45, hkl 1 3 3
d = 1.834 Å, 2θ = 49.72°, I = 54, hkl 1 9 2


Record 9
For Mg2Ni2Ge3, a GGA-PBE-relaxed structure gives the simulated powder XRD pattern in this record (CuKα).
Kinematic intensities with the Lorentz-polarization factor, no thermal factor.

Cell and atoms:
a b c (Å): 9.545 3.887 6.725
angles (deg): 90.00 116.58 90.00
Space group C2/m (No. 12)
One atom of each set of equivalent atoms:
Mg 0.155 0.000 0.302 x4
Ni 0.130 0.000 0.710 x4
Ge 0.000 0.500 0.500 x2
Ge 0.124 0.500 0.957 x4

Top 8 peaks for 2θ = 10–80°, sorted by position:
d = 4.580 Å, 2θ = 19.38°, I = 100, hkl 2 0 -1
d = 2.535 Å, 2θ = 35.41°, I = 47, hkl 1 1 -2
d = 2.461 Å, 2θ = 36.51°, I = 36, hkl 3 1 -1
d = 2.261 Å, 2θ = 39.88°, I = 48, hkl 3 1 -2
d = 2.106 Å, 2θ = 42.94°, I = 85, hkl 1 1 2
d = 1.964 Å, 2θ = 46.22°, I = 25, hkl 4 0 -3
d = 1.943 Å, 2θ = 46.74°, I = 47, hkl 0 2 0
d = 1.926 Å, 2θ = 47.20°, I = 37, hkl 3 1 1


Record 10
For MgGe2O2, a GGA-PBE-relaxed structure gives the simulated powder XRD pattern in this record (CuKα).
Kinematic intensities with the Lorentz-polarization factor, no thermal factor.

Cell and atoms:
a b c (Å): 5.758 5.758 4.120
angles (deg): 90.00 90.00 90.00
Space group P4/mbm (No. 127)
One atom of each set of equivalent atoms:
Mg 0.000 0.000 0.000 x2
Ge 0.169 0.331 0.500 x4
O 0.202 0.298 0.000 x4

Top 8 peaks for 2θ = 10–80°, sorted by position:
d = 4.120 Å, 2θ = 21.57°, I = 39, hkl 0 0 1
d = 2.896 Å, 2θ = 30.88°, I = 28, hkl 1 1 1
d = 2.879 Å, 2θ = 31.06°, I = 26, hkl 2 0 0
d = 2.575 Å, 2θ = 34.84°, I = 100, hkl 2 1 0
d = 2.360 Å, 2θ = 38.13°, I = 28, hkl 2 0 1
d = 2.184 Å, 2θ = 41.34°, I = 66, hkl 2 1 1
d = 2.060 Å, 2θ = 43.95°, I = 33, hkl 0 0 2
d = 1.609 Å, 2θ = 57.27°, I = 44, hkl 2 1 2


Record 11
For MgPaGeO6, a GGA-PBE-relaxed structure gives the simulated powder XRD pattern in this record (CuKα).
Kinematic intensities with the Lorentz-polarization factor, no thermal factor.

Cell and atoms:
a b c (Å): 5.3793 5.3793 8.7679
angles (deg): 90.00 90.00 120.00
Space group P-31c (No. 163)
One atom of each set of equivalent atoms:
Mg 0.0000 0.0000 0.0000 x2
Pa 0.3333 0.6667 0.2500 x2
Ge 0.3333 0.6667 0.7500 x2
O 0.0381 0.3607 0.6307 x12

Top 8 peaks for 2θ = 10–80°, sorted by position:
d = 4.659 Å, 2θ = 19.05°, I = 62, hkl 1 0 0
d = 4.384 Å, 2θ = 20.26°, I = 88, hkl 0 0 2
d = 4.114 Å, 2θ = 21.60°, I = 79, hkl 1 0 1
d = 3.193 Å, 2θ = 27.95°, I = 95, hkl 1 0 2
d = 2.690 Å, 2θ = 33.31°, I = 75, hkl 1 1 0
d = 2.476 Å, 2θ = 36.29°, I = 29, hkl 1 0 3
d = 2.293 Å, 2θ = 39.30°, I = 100, hkl 1 1 2
d = 1.699 Å, 2θ = 53.96°, I = 67, hkl 1 1 4


Record 12
For Rb2MgGeO4, a GGA-PBE-relaxed structure gives the simulated powder XRD pattern in this record (CuKα).
Kinematic intensities with the Lorentz-polarization factor, no thermal factor.

Cell and atoms:
a b c (Å): 5.156 12.210 21.170
angles (deg): 90.00 90.00 90.00
Space group Fddd (No. 70, origin choice 2)
One atom of each set of equivalent atoms:
Rb 0.125 0.125 0.301 x16
Mg 0.125 0.125 0.125 x8
Ge 0.125 0.125 0.625 x8
O 0.101 0.292 0.832 x32

Top 8 peaks for 2θ = 10–80°, sorted by position:
d = 5.292 Å, 2θ = 16.75°, I = 18, hkl 0 0 4
d = 3.940 Å, 2θ = 22.57°, I = 79, hkl 1 1 3
d = 3.054 Å, 2θ = 29.24°, I = 100, hkl 0 2 6
d = 2.910 Å, 2θ = 30.72°, I = 66, hkl 1 3 3
d = 2.375 Å, 2θ = 37.89°, I = 30, hkl 2 2 0
d = 2.107 Å, 2θ = 42.92°, I = 29, hkl 1 1 9
d = 2.081 Å, 2θ = 43.48°, I = 24, hkl 2 0 6
d = 1.720 Å, 2θ = 53.27°, I = 25, hkl 2 4 6